Cs2UV3O12: theoretical powder X-ray diffraction pattern (Cu Ka), based on the PBE+U geometry in Alexandria.
No peak broadening, texture or thermal motion is included.

Largest 10 diffraction maxima, sorted by position, 10° ≤ 2θ ≤ 90°:
2θ = 15.1°, 5.872 Å, intensity 24.7; 2θ = 17.2°, 5.164 Å, intensity 39.3; 2θ = 24.9°, 3.569 Å, intensity 64.0; 2θ = 27.8°, 3.211 Å, intensity 80.5; 2θ = 28.8°, 3.101 Å, intensity 100.0; 2θ = 30.4°, 2.936 Å, intensity 41.6; 2θ = 45.7°, 1.984 Å, intensity 30.2; 2θ = 46.4°, 1.957 Å, intensity 31.2; 2θ = 48.7°, 1.870 Å, intensity 25.2; 2θ = 51.2°, 1.785 Å, intensity 27.9

Cell lengths 7.498, 7.498, 7.498 Å; angles 56.85, 56.85, 56.85 degrees
Fractional positions:
Cs: 0.114 0.114 0.114
Cs: 0.886 0.886 0.886
U: 0.500 0.500 0.500
V: 0.000 0.500 0.500
V: 0.500 0.000 0.500
V: 0.500 0.500 0.000
O: 0.167 0.567 0.567
O: 0.197 0.197 0.565
O: 0.197 0.565 0.197
O: 0.433 0.433 0.833
O: 0.433 0.833 0.433
O: 0.435 0.803 0.803
O: 0.565 0.197 0.197
O: 0.567 0.167 0.567
O: 0.567 0.567 0.167
O: 0.803 0.435 0.803
O: 0.803 0.803 0.435
O: 0.833 0.433 0.433